Starting from a crystal structure in Alexandria, relaxed with PBE, the X-ray diffraction stick pattern of Pm3YHo5 was computed for Cu Kα.
Lines closer than 0.1° are merged.

Atomic structure:
Unit cell a=8.7172 b=8.7172 c=15.4424 alpha=90.00 beta=90.00 gamma=90.00
Space group I4/mcm (No. 140)
One atom of each set of equivalent atoms:
Pm 0.0000 0.0000 0.2500 (multiplicity 4)
Pm 0.1164 0.3836 0.0000 (multiplicity 8)
Y 0.0000 0.5000 0.2500 (multiplicity 4)
Ho 0.0000 0.0000 0.0000 (multiplicity 4)
Ho 0.2106 0.2894 0.3626 (multiplicity 16)

Largest 10 diffraction maxima, low angle first, 2θ from 10° to 90°:
2θ/deg  Rel. int.  h k l
28.73  52  2 1 3
28.97  51  2 2 0
30.94  100  2 0 4
32.48  19  3 1 0
37.14  12  2 1 5
37.66  18  3 2 1
43.17  20  4 0 2
47.08  12  0 0 8
52.60  21  4 2 4
56.23  13  2 2 8